# MnTl2Cu2F6
Computed powder X-ray diffraction pattern, Cu Kα (weighted mean of Kα1 and Kα2). Input: a DFT-relaxed cell (GGA+U, Alexandria).
Kinematic intensities with the Lorentz-polarization factor, no thermal factor.

Structural model:
Unit cell a=6.2900 b=6.2900 c=6.9857 alpha=121.85 beta=121.85 gamma=55.30
Element x y z (fractional)
Mn (0.0000, 0.0000, 0.0000)
Tl (0.2258, 0.2258, 0.7581)
Tl (0.7742, 0.7742, 0.2419)
Cu (0.4237, 0.4237, 0.5905)
Cu (0.5763, 0.5763, 0.4095)
F (0.2030, 0.6916, 0.1582)
F (0.2333, 0.2333, 0.2882)
F (0.3084, 0.7970, 0.8418)
F (0.6916, 0.2030, 0.1582)
F (0.7667, 0.7667, 0.7118)
F (0.7970, 0.3084, 0.8418)

Most intense lines, 2θ = 10–90°, most intense first:
27.83°, rel. 100.0
31.84°, rel. 55.2
19.83°, rel. 53.7
30.63°, rel. 39.9
33.14°, rel. 36.9
45.75°, rel. 35.5
40.28°, rel. 34.7
28.55°, rel. 30.2
25.52°, rel. 19.9
47.39°, rel. 19.1